# Tm2I2O
Calculated powder diffractogram, copper Kα. Input: a structure optimized by DFT (GGA-PBE).

Structural model:
Lattice parameters (Å, degrees): 4.1867 4.1867 15.2935 90.00 90.00 90.00
Positions (direct):
Tm 0.0000 0.0000 0.1315
Tm 0.0000 0.0000 0.8685
I 0.0000 0.0000 0.3153
I 0.0000 0.0000 0.6847
O 0.0000 0.0000 0.0000

Top 10 peaks for 5 to 70 degrees two-theta, by intensity:
Position (°2θ)  I (rel.)  (hkl)
21.22  100.0  1 0 0
5.78  46.1  0 0 1
30.19  41.3  1 1 0
31.69  21.9  1 0 4
48.63  21.8  2 1 0
36.38  20.9  1 0 5
11.57  17.6  0 0 2
43.22  15.4  2 0 0
42.50  13.6  1 1 5
38.46  13.1  1 1 4